Structure and theoretical powder diffraction line list of Pu9Bi11Pt4 (the GGA-PBE geometry in Alexandria; Cu Kα, 1.54184 Å).
Peak positions follow from Bragg's law for the DFT cell and can differ from measured ones.

The 10 most intense peaks (2θ = 10–90°), by angle:
- 30.0°, intensity 27, (1 5 1)
- 31.3°, intensity 20, (3 3 1)
- 32.2°, intensity 100, (0 6 1)
- 33.6°, intensity 98, (4 0 1)
- 35.3°, intensity 15, (3 5 1)
- 35.5°, intensity 75, (4 6 0)
- 36.9°, intensity 17, (1 9 0)
- 43.2°, intensity 38, (0 0 2)
- 57.1°, intensity 39, (4 6 2)
- 60.8°, intensity 18, (4 12 1)

Structure:
```
data_Pu9Bi11Pt4
_chemical_formula_sum 'Pu18 Bi22 Pt8'
_space_group_name_H-M_alt 'C m m m'
_space_group_IT_number 65
_space_group_name_Hall '-C 2 2'
_cell_length_a 13.824
_cell_length_b 22.289
_cell_length_c 4.191
_cell_angle_alpha 90.00
_cell_angle_beta 90.00
_cell_angle_gamma 90.00
loop_
_atom_site_label
_atom_site_type_symbol
_atom_site_fract_x
_atom_site_fract_y
_atom_site_fract_z
Pu1 Pu 0.000 0.000 0.000
Pu2 Pu 0.116 0.232 0.000
Pu3 Pu 0.130 0.422 0.000
Bi1 Bi 0.000 0.125 0.500
Bi2 Bi 0.000 0.327 0.500
Bi3 Bi 0.000 0.500 0.500
Bi4 Bi 0.196 0.000 0.500
Bi5 Bi 0.243 0.336 0.500
Pt1 Pt 0.152 0.096 0.000
```

Structure and theoretical powder diffraction line list of RbBiPt (the GGA-PBE geometry in Alexandria; Cu Kα, 1.54184 Å).
Peak positions follow from Bragg's law for the DFT cell and can differ from measured ones.

The 10 most intense peaks (2θ = 10–90°), by angle:
- 12.0°, intensity 58, (0 0 1)
- 14.0°, intensity 28, (1 0 0)
- 14.6°, intensity 100, (1 0 -1)
- 24.1°, intensity 27, (0 0 2)
- 29.5°, intensity 37, (2 0 -2)
- 30.2°, intensity 38, (1 1 -2)
- 38.1°, intensity 55, (1 1 2)
- 39.6°, intensity 25, (0 2 0)
- 49.4°, intensity 28, (3 1 -3)
- 50.1°, intensity 36, (1 1 -4)

Structure:
```
data_RbBiPt
_chemical_formula_sum 'Rb2 Bi2 Pt2'
_space_group_name_H-M_alt 'P 1 21/m 1'
_space_group_IT_number 11
_cell_length_a 6.814
_cell_length_b 4.548
_cell_length_c 7.975
_cell_angle_alpha 90.00
_cell_angle_beta 112.19
_cell_angle_gamma 90.00
loop_
_space_group_symop_operation_xyz
'x,y,z'
'-x,-y,-z'
'-x,y+1/2,-z'
'x,-y+1/2,z'
loop_
_atom_site_label
_atom_site_type_symbol
_atom_site_fract_x
_atom_site_fract_y
_atom_site_fract_z
Rb1 Rb 0.217 0.250 0.231
Bi1 Bi 0.276 0.250 0.741
Pt1 Pt 0.367 0.750 0.936
```

Structure and theoretical powder diffraction line list of RbBi12Pt4 (the GGA-PBE geometry in Alexandria; Cu Kα, 1.54184 Å).
Peak positions follow from Bragg's law for the DFT cell and can differ from measured ones.

The 10 most intense peaks (2θ = 10–90°), by angle:
- 17.6°, intensity 11, (2 0 0)
- 28.0°, intensity 100, (3 0 1)
- 33.3°, intensity 37, (3 1 2)
- 40.1°, intensity 37, (4 0 2)
- 44.1°, intensity 33, (4 2 2)
- 46.0°, intensity 28, (4 3 1)
- 53.1°, intensity 15, (5 3 0)
- 62.6°, intensity 20, (6 1 3)
- 71.4°, intensity 11, (7 3 0)
- 81.1°, intensity 18, (6 6 0)

Structure:
```
data_RbBi12Pt4
_chemical_formula_sum 'Rb2 Bi24 Pt8'
_space_group_name_H-M_alt 'I m -3'
_space_group_IT_number 204
_space_group_name_Hall '-I 2 2 3'
_cell_length_a 10.062
_cell_length_b 10.062
_cell_length_c 10.062
_cell_angle_alpha 90.00
_cell_angle_beta 90.00
_cell_angle_gamma 90.00
loop_
_atom_site_label
_atom_site_type_symbol
_atom_site_fract_x
_atom_site_fract_y
_atom_site_fract_z
Rb1 Rb 0.000 0.000 0.000
Bi1 Bi 0.000 0.342 0.160
Pt1 Pt 0.250 0.250 0.250
```

Structure and theoretical powder diffraction line list of Bi4PtRh2 (the GGA-PBE geometry in Alexandria; Cu Kα, 1.54184 Å).
Peak positions follow from Bragg's law for the DFT cell and can differ from measured ones.

The 10 most intense peaks (2θ = 10–90°), by angle:
- 29.3°, intensity 100, (2 2 2)
- 29.6°, intensity 54, (2 4 0)
- 40.1°, intensity 62, (4 2 2)
- 40.3°, intensity 26, (4 4 0)
- 43.4°, intensity 26, (0 0 4)
- 44.1°, intensity 51, (0 6 2)
- 53.4°, intensity 21, (2 4 4)
- 54.1°, intensity 27, (6 2 2)
- 60.7°, intensity 15, (4 4 4)
- 81.6°, intensity 17, (8 6 2)

Structure:
```
data_Bi4PtRh2
_chemical_formula_sum 'Bi32 Pt8 Rh16'
_space_group_name_H-M_alt 'F d d 2'
_space_group_IT_number 43
_space_group_name_Hall 'F 2 -2d'
_cell_length_a 11.525
_cell_length_b 14.176
_cell_length_c 8.338
_cell_angle_alpha 90.00
_cell_angle_beta 90.00
_cell_angle_gamma 90.00
loop_
_atom_site_label
_atom_site_type_symbol
_atom_site_fract_x
_atom_site_fract_y
_atom_site_fract_z
Bi1 Bi 0.121 0.421 0.000
Bi2 Bi 0.124 0.167 0.266
Pt1 Pt 0.000 0.000 0.772
Rh1 Rh 0.000 0.246 0.006
```